Calculated PXRD pattern of TiSiGe for Cu Kα, 1.54184 Å, from a GGA-PBE-relaxed structure.
Lines closer than 0.1° are merged.

Structural model:
Cell lengths 4.9175, 8.7206, 8.4550 Å; angles 90.00, 90.00, 90.00 degrees
Space group Fdd2 (No. 43)
Inequivalent atoms, fractional coordinates:
Ti: 0.0000 0.0000 0.0000 (multiplicity 8)
Si: 0.0000 0.0000 0.6676 (multiplicity 8)
Ge: 0.0000 0.0000 0.3368 (multiplicity 8)

Main lines, by angle (2θ from 10° to 90°):
- d 3.821, 23.28 deg, rel. 24, hkl 1 1 1
- d 3.035, 29.43 deg, rel. 16, hkl 0 2 2
- d 2.354, 38.23 deg, rel. 100, hkl 1 1 3
- d 2.180, 41.42 deg, rel. 40, hkl 0 4 0
- d 2.142, 42.19 deg, rel. 75, hkl 2 2 0
- d 1.871, 48.66 deg, rel. 48, hkl 1 3 3
- d 1.420, 65.77 deg, rel. 19, hkl 1 5 3
- d 1.399, 66.90 deg, rel. 18, hkl 3 1 3